Simulated XRD peak list of CsLiTe2 for Cu Kα (weighted mean of Kα1 and Kα2), from a cell relaxed with GGA-PBE.
Peak positions follow from Bragg's law for the DFT cell and can differ from measured ones.

Structure:
Lattice parameters (Å, degrees): 5.0598 7.2775 8.9604 100.58 92.08 99.78
Positions (direct):
Cs: 0.0978 0.3371 0.1942
Cs: 0.9022 0.6629 0.8058
Li: 0.2254 0.9168 0.4021
Li: 0.7746 0.0832 0.5979
Te: 0.3160 0.2604 0.6149
Te: 0.4782 0.8775 0.1289
Te: 0.5218 0.1225 0.8711
Te: 0.6840 0.7396 0.3851

Main lines, low angle first (10° ≤ 2θ ≤ 90°):
2θ (°), d [Å], Rel. int., hkl
21.69, 4.098, 23, 0 1 -2
22.91, 3.882, 100, -1 1 1
23.69, 3.756, 68, 1 1 0
25.34, 3.515, 28, 0 2 0
28.02, 3.185, 31, 1 0 2
29.10, 3.069, 30, 0 2 1
29.32, 3.046, 19, 0 2 -2
30.72, 2.910, 20, 0 1 -3
32.77, 2.733, 28, 1 -2 2
35.64, 2.519, 20, 0 2 2
36.87, 2.438, 23, 2 0 -1
37.56, 2.395, 19, 2 -1 1

***

Simulated XRD peak list of SbP4O12 for Cu Kα (weighted mean of Kα1 and Kα2), from a cell relaxed with GGA-PBE.
Peak positions follow from Bragg's law for the DFT cell and can differ from measured ones.

Structure:
Lattice parameters (Å, degrees): 7.2864 7.8013 10.0105 95.36 108.76 111.48
Positions (direct):
Sb: 0.0000 0.0000 0.0000
Sb: 0.0000 0.5000 0.5000
P: 0.0158 0.1603 0.6935
P: 0.2755 0.2161 0.5146
P: 0.2931 0.7646 0.0390
P: 0.4907 0.8234 0.8152
P: 0.5093 0.1766 0.1848
P: 0.7069 0.2354 0.9610
P: 0.7245 0.7839 0.4854
P: 0.9842 0.8397 0.3065
O: 0.0051 0.3478 0.6851
O: 0.0746 0.1363 0.8521
O: 0.1192 0.2932 0.4323
O: 0.1209 0.8265 0.9440
O: 0.1937 0.1378 0.6451
O: 0.2050 0.0083 0.4076
O: 0.2353 0.6058 0.1053
O: 0.2861 0.1781 0.1511
O: 0.3343 0.7185 0.6662
O: 0.4140 0.7353 0.9352
O: 0.4783 0.9620 0.1559
O: 0.4926 0.6836 0.4268
O: 0.5074 0.3164 0.5732
O: 0.5217 0.0380 0.8441
O: 0.5860 0.2647 0.0648
O: 0.6657 0.2815 0.3338
O: 0.7139 0.8219 0.8489
O: 0.7647 0.3942 0.8947
O: 0.7950 0.9917 0.5924
O: 0.8063 0.8622 0.3549
O: 0.8791 0.1735 0.0560
O: 0.8808 0.7068 0.5677
O: 0.9254 0.8637 0.1479
O: 0.9949 0.6522 0.3149

Main lines, low angle first (10° ≤ 2θ ≤ 90°):
2θ (°), d [Å], Rel. int., hkl
12.56, 7.048, 55, 0 1 0
13.88, 6.382, 91, 0 1 -1
14.15, 6.260, 91, 1 0 0
17.59, 5.042, 85, 0 1 1
19.05, 4.658, 67, 1 0 -2
19.29, 4.601, 78, 0 0 2
20.98, 4.234, 35, 1 1 -1
23.18, 3.837, 84, 1 -2 0
24.64, 3.613, 50, -2 1 1
27.82, 3.207, 100, 1 1 1
29.46, 3.032, 92, 1 1 -3
32.26, 2.775, 36, -2 2 2

***

Simulated XRD peak list of PmYCl6 for Cu Kα (weighted mean of Kα1 and Kα2), from a cell relaxed with GGA-PBE.
Peak positions follow from Bragg's law for the DFT cell and can differ from measured ones.

Structure:
Lattice parameters (Å, degrees): 6.7630 6.7630 12.4920 90.00 90.00 120.00
Positions (direct):
Pm: 0.3333 0.6667 0.2500
Pm: 0.6667 0.3333 0.7500
Y: 0.0000 0.0000 0.0000
Y: 0.0000 0.0000 0.5000
Cl: 0.0129 0.3287 0.1225
Cl: 0.0129 0.6842 0.3775
Cl: 0.3158 0.3287 0.3775
Cl: 0.3158 0.9871 0.1225
Cl: 0.3287 0.0129 0.6225
Cl: 0.3287 0.3158 0.8775
Cl: 0.6713 0.6842 0.1225
Cl: 0.6713 0.9871 0.3775
Cl: 0.6842 0.0129 0.8775
Cl: 0.6842 0.6713 0.6225
Cl: 0.9871 0.3158 0.6225
Cl: 0.9871 0.6713 0.8775

Main lines, low angle first (10° ≤ 2θ ≤ 90°):
2θ (°), d [Å], Rel. int., hkl
16.72, 5.303, 100, 1 0 1
20.79, 4.272, 93, 1 0 2
26.29, 3.389, 43, 1 1 0
30.05, 2.974, 53, 1 1 2
31.37, 2.851, 16, 2 0 1
33.81, 2.651, 27, 2 0 2
39.26, 2.295, 86, 2 -1 4
41.42, 2.180, 18, 2 1 1
43.37, 2.086, 27, 3 -1 2
46.50, 1.953, 51, 3 0 0
62.46, 1.487, 18, 2 2 4
81.34, 1.183, 20, 5 -1 4